For Ti6SnGe, a structure optimized by DFT (GGA-PBE) gives the theoretical X-ray diffraction stick pattern in this record (Cu Kα X-rays).
Kinematic intensities with the Lorentz-polarization factor, no thermal factor.

Atomic structure:
Cell: 4.673 5.932 9.854 Å, 90.00 90.00 90.00°
Space group Amm2 (No. 38)
One atom of each set of equivalent atoms:
Ti: 0.000 0.000 0.000 x2
Ti: 0.000 0.239 0.252 x4
Ti: 0.500 0.000 0.690 x2
Ti: 0.500 0.250 0.432 x4
Sn: 0.000 0.000 0.510 x2
Ge: 0.500 0.000 0.176 x2

The 10 most intense peaks (15° ≤ 2θ ≤ 90°), low angle first:
| h k l | 2θ (°) | d_spacing | I_rel |
| --- | --- | --- | --- |
| 1 1 1 | 25.9 | 3.440 | 15 |
| 0 2 2 | 35.3 | 2.541 | 19 |
| 0 0 4 | 36.5 | 2.463 | 15 |
| 2 0 0 | 38.5 | 2.336 | 36 |
| 1 2 2 | 40.4 | 2.232 | 100 |
| 1 0 4 | 41.4 | 2.179 | 37 |
| 2 2 2 | 53.3 | 1.720 | 11 |
| 0 2 6 | 64.9 | 1.437 | 13 |
| 3 2 2 | 71.0 | 1.328 | 17 |
| 2 2 6 | 78.1 | 1.224 | 15 |



For Ti5Sn2Ge, a structure optimized by DFT (GGA-PBE) gives the theoretical X-ray diffraction stick pattern in this record (Cu Kα X-rays).
Kinematic intensities with the Lorentz-polarization factor, no thermal factor.

Atomic structure:
Cell: 4.687 13.166 11.214 Å, 90.00 90.00 90.00°
Space group Cmcm (No. 63)
One atom of each set of equivalent atoms:
Ti: 0.000 0.112 0.127 x8
Ti: 0.000 0.303 0.014 x8
Ti: 0.000 0.309 0.750 x4
Sn: 0.000 0.103 0.621 x8
Ge: 0.000 0.294 0.250 x4

The 10 most intense peaks (15° ≤ 2θ ≤ 90°), low angle first:
| h k l | 2θ (°) | d_spacing | I_rel |
| --- | --- | --- | --- |
| 0 2 1 | 15.6 | 5.677 | 33 |
| 1 1 0 | 20.1 | 4.415 | 73 |
| 1 3 1 | 29.0 | 3.080 | 26 |
| 0 2 4 | 34.8 | 2.579 | 30 |
| 1 1 4 | 38.0 | 2.367 | 82 |
| 2 0 0 | 38.4 | 2.343 | 55 |
| 1 5 0 | 39.2 | 2.296 | 100 |
| 0 4 4 | 42.3 | 2.134 | 34 |
| 1 3 4 | 42.9 | 2.110 | 49 |
| 2 4 4 | 58.5 | 1.578 | 26 |